Record 1
# Cs12Sn2Bi6O
Calculated powder diffractogram, Cu Kα, 1.54184 Å. Input: a GGA-PBE-relaxed structure.
No peak broadening, texture or thermal motion is included.

Structural model:
Lattice parameters (Å, degrees): 13.1268 13.1268 6.8081 90.00 90.00 120.00
Space group P-3m1 (No. 164)
Inequivalent atoms, fractional coordinates:
Cs: 0.0936 0.5468 0.2510 [6 per cell]
Cs: 0.1113 0.2225 0.2235 [6 per cell]
Sn: 0.3333 0.6667 0.7511 [2 per cell]
Bi: 0.2077 0.4155 0.7439 [6 per cell]
O: 0.0000 0.0000 0.0000 [1 per cell]

Peak list (10 most intense, 10° ≤ 2θ ≤ 90°, in order of falling intensity)
2theta	d/Å	Rel. int.	index
26.93	3.311	100	3 0 1
26.18	3.404	30	0 0 2
49.53	1.840	26	3 3 2
41.27	2.188	22	3 3 0
46.65	1.947	21	3 0 3
23.48	3.789	16	3 0 0
49.97	1.825	15	0 6 1
15.17	5.841	13	1 0 1
35.45	2.532	11	0 3 2
66.74	1.402	9	6 3 1

Record 2
# Cs2Sr5Bi3O2
Calculated powder diffractogram, Cu Kα, 1.54184 Å. Input: a GGA-PBE-relaxed structure.
No peak broadening, texture or thermal motion is included.

Structural model:
Lattice parameters (Å, degrees): 5.1460 5.1460 32.1558 90.00 90.00 90.00
Space group I4/mmm (No. 139)
Inequivalent atoms, fractional coordinates:
Cs: 0.0000 0.0000 0.2074 [4 per cell]
Sr: 0.0000 0.0000 0.0000 [2 per cell]
Sr: 0.0000 0.5000 0.0883 [8 per cell]
Bi: 0.0000 0.0000 0.3398 [4 per cell]
Bi: 0.0000 0.0000 0.5000 [2 per cell]
O: 0.0000 0.0000 0.0762 [4 per cell]

Peak list (10 most intense, 10° ≤ 2θ ≤ 90°, in order of falling intensity)
2theta	d/Å	Rel. int.	index
29.68	3.010	100	1 1 6
26.00	3.427	65	1 0 7
34.87	2.573	58	2 0 0
24.46	3.639	33	1 1 0
44.01	2.058	32	2 1 7
59.35	1.557	29	3 1 6
50.14	1.819	21	2 2 0
17.45	5.081	18	1 0 1
30.46	2.935	16	1 0 9
26.90	3.315	16	1 1 4

Record 3
# Cs2TlBiO4
Calculated powder diffractogram, Cu Kα, 1.54184 Å. Input: a GGA-PBE-relaxed structure.
No peak broadening, texture or thermal motion is included.

Structural model:
Lattice parameters (Å, degrees): 9.3185 9.1603 6.5933 90.00 134.92 90.00
Space group C2 (No. 5)
Inequivalent atoms, fractional coordinates:
Cs: 0.0000 0.0000 0.0000 [2 per cell]
Cs: 0.0000 0.2499 0.5000 [2 per cell]
Tl: 0.0000 0.7505 0.5000 [2 per cell]
Bi: 0.0000 0.5003 0.0000 [2 per cell]
O: 0.1430 0.6268 0.8925 [4 per cell]
O: 0.2493 0.8746 0.6060 [4 per cell]

Peak list (10 most intense, 10° ≤ 2θ ≤ 90°, in order of falling intensity)
2theta	d/Å	Rel. int.	index
27.29	3.268	100	2 2 -1
27.04	3.298	44	2 0 0
47.92	1.898	43	4 2 -1
48.39	1.881	23	2 4 0
38.61	2.332	21	0 0 2
56.30	1.634	13	0 4 2
16.56	5.353	11	1 1 -1
77.48	1.232	11	2 6 1
63.09	1.474	10	6 0 -2
64.19	1.451	9	0 6 1

Record 4
# Cs3U2BiO9
Calculated powder diffractogram, Cu Kα, 1.54184 Å. Input: a GGA-PBE-relaxed structure.
No peak broadening, texture or thermal motion is included.

Structural model:
Lattice parameters (Å, degrees): 6.3045 6.3045 7.7335 90.00 90.00 120.00
Space group P-3m1 (No. 164)
Inequivalent atoms, fractional coordinates:
Cs: 0.0000 0.0000 0.0000 [1 per cell]
Cs: 0.3333 0.6667 0.6598 [2 per cell]
U: 0.3333 0.6667 0.1612 [2 per cell]
Bi: 0.0000 0.0000 0.5000 [1 per cell]
O: 0.0000 0.5000 0.0000 [3 per cell]
O: 0.1800 0.3600 0.3145 [6 per cell]

Peak list (10 most intense, 10° ≤ 2θ ≤ 90°, in order of falling intensity)
2theta	d/Å	Rel. int.	index
28.30	3.154	100	1 1 0
50.10	1.821	42	3 0 0
40.45	2.230	27	2 0 2
66.26	1.410	19	3 1 2
58.53	1.577	18	2 2 0
19.91	4.460	12	1 0 1
80.63	1.192	12	4 1 0
80.55	1.193	11	1 3 4
45.47	1.995	6	2 1 1
73.59	1.287	5	0 4 2

Record 5
# CsZr2Bi2O7
Calculated powder diffractogram, Cu Kα, 1.54184 Å. Input: a GGA-PBE-relaxed structure.
No peak broadening, texture or thermal motion is included.

Structural model:
Lattice parameters (Å, degrees): 4.2090 17.6205 6.4351 90.00 90.00 90.00
Space group Imm2 (No. 44)
Inequivalent atoms, fractional coordinates:
Cs: 0.0000 0.0000 0.0000 [2 per cell]
Zr: 0.0000 0.3926 0.9936 [4 per cell]
Bi: 0.0000 0.2643 0.4356 [4 per cell]
O: 0.0000 0.1281 0.4491 [4 per cell]
O: 0.0000 0.2805 0.8446 [4 per cell]
O: 0.0000 0.3884 0.2966 [4 per cell]
O: 0.0000 0.5000 0.8828 [2 per cell]

Peak list (10 most intense, 10° ≤ 2θ ≤ 90°, in order of falling intensity)
2theta	d/Å	Rel. int.	index
27.27	3.271	100	1 2 1
10.04	8.810	43	0 2 0
27.73	3.218	40	0 0 2
28.89	3.091	30	0 5 1
32.55	2.751	23	1 4 1
48.76	1.868	20	1 2 3
26.05	3.421	18	1 3 0
39.97	2.256	17	1 6 1
42.98	2.104	17	2 0 0
20.16	4.405	17	0 4 0

Record 6
# CsBiP2S8
Calculated powder diffractogram, Cu Kα, 1.54184 Å. Input: a GGA-PBE-relaxed structure.
No peak broadening, texture or thermal motion is included.

Structural model:
Lattice parameters (Å, degrees): 6.1944 6.1944 10.1047 90.00 90.00 120.00
Space group P-3 (No. 147)
Inequivalent atoms, fractional coordinates:
Cs: 0.0000 0.0000 0.0000 [1 per cell]
Bi: 0.0000 0.0000 0.5000 [1 per cell]
P: 0.3333 0.6667 0.7231 [2 per cell]
S: 0.0003 0.3610 0.6675 [6 per cell]
S: 0.3333 0.6667 0.9220 [2 per cell]

Peak list (10 most intense, 10° ≤ 2θ ≤ 90°, in order of falling intensity)
2theta	d/Å	Rel. int.	index
24.20	3.678	100	1 0 2
16.52	5.365	56	1 0 0
33.95	2.641	50	2 -1 2
28.83	3.097	34	1 1 0
48.37	1.882	30	2 1 2
39.43	2.285	26	1 0 4
37.98	2.369	26	0 2 2
46.38	1.958	25	1 1 4
65.41	1.427	23	2 0 6
18.73	4.738	22	0 1 1